Record 1
This entry pairs a crystal structure of ErZr11 with its calculated powder X-ray diffraction pattern. Radiation: Cu Kα. Structure: a PBE-relaxed structure.
Kinematic intensities with the Lorentz-polarization factor, no thermal factor.

Structure:
a b c (Å): 10.2040 10.2040 3.1718
angles (deg): 90.00 90.00 120.00
Positions (direct):
Er  0.0000  0.0000  0.0000
Zr  0.0000  0.5000  0.0000
Zr  0.1743  0.3485  0.5000
Zr  0.1743  0.8257  0.5000
Zr  0.3333  0.6667  0.0000
Zr  0.3485  0.1743  0.5000
Zr  0.5000  0.0000  0.0000
Zr  0.5000  0.5000  0.0000
Zr  0.6515  0.8257  0.5000
Zr  0.6667  0.3333  0.0000
Zr  0.8257  0.1743  0.5000
Zr  0.8257  0.6515  0.5000

Most intense lines, 5° ≤ 2θ ≤ 70°, low angle first:
2θ/deg, Rel. int.
33.26, 33
34.82, 59
35.18, 100
41.85, 18
50.33, 20
55.79, 14
58.17, 8
62.89, 20
63.13, 17
69.83, 26


Record 2
This entry pairs a crystal structure of KHg2Au with its calculated powder X-ray diffraction pattern. Radiation: Cu Kα. Structure: a PBE-relaxed structure.
Kinematic intensities with the Lorentz-polarization factor, no thermal factor.

Structure:
a b c (Å): 3.9099 5.5907 10.6592
angles (deg): 90.00 90.00 90.00
Positions (direct):
K  0.0000  0.0000  0.0000
K  0.5000  0.5000  0.5000
Hg  0.0000  0.5000  0.2145
Hg  0.0000  0.5000  0.7855
Hg  0.5000  0.0000  0.2855
Hg  0.5000  0.0000  0.7145
Au  0.0000  0.0000  0.5000
Au  0.5000  0.5000  0.0000

Most intense lines, 5° ≤ 2θ ≤ 70°, low angle first:
2θ/deg, Rel. int.
17.92, 34
32.02, 30
32.61, 100
33.63, 15
34.10, 20
45.54, 15
46.45, 11
47.12, 12
47.47, 17
57.47, 31